# Ca3CoO6
Calculated powder diffractogram, a wavelength of 1.5418 Å. Input: a crystal structure in Alexandria, relaxed with GGA+U.
Intensities are scaled so that the largest is 100.

Peak list (6 most intense, 2θ = 10–90°, sorted by position)
(2 0 0), 2θ = 19.4°, d 4.583, rel. 100.0
(1 3 1), 2θ = 34.9°, d 2.574, rel. 40.4
(2 0 2), 2θ = 35.6°, d 2.519, rel. 17.0
(2 4 -1), 2θ = 47.0°, d 1.935, rel. 21.1
(4 2 1), 2θ = 47.6°, d 1.911, rel. 19.2
(0 2 3), 2θ = 48.0°, d 1.896, rel. 19.2

```
data_Ca3CoO6
_chemical_formula_sum 'Ca12 Co4 O24'
_cell_length_a 9.1825
_cell_length_b 8.9835
_cell_length_c 6.2856
_cell_angle_alpha 90.00
_cell_angle_beta 93.47
_cell_angle_gamma 90.00
_symmetry_space_group_name_H-M 'C 1 2 1'
_symmetry_Int_Tables_number 5
_symmetry_space_group_name_Hall 'C 2y'
loop_
_atom_site_label
_atom_site_fract_x
_atom_site_fract_y
_atom_site_fract_z
Ca1 0.0000 0.0000 0.0000
Ca2 0.0000 0.2033 0.5000
Ca3 0.1773 0.5269 0.3519
Ca4 0.1773 0.6736 0.8495
Co1 0.2466 0.3538 0.7554
O1 0.0682 0.7490 0.1760
O2 0.0743 0.4520 0.6808
O3 0.1476 0.1784 0.8259
O4 0.1488 0.0263 0.3250
O5 0.2401 0.7819 0.5142
O6 0.2487 0.9167 0.9723
```